No. 1
Diffraction record for La2ScW. The powder diffractogram is computed, not measured: it uses the GGA-PBE geometry in Alexandria and λ = 1.5418 Å (Cu Kα).
Neutral-atom scattering factors, no anomalous dispersion.

Top 10 peaks for 10° ≤ 2θ ≤ 80°, by angle:
| Position (°2θ) | I (rel.) |
| --- | --- |
| 33.0 | 50 |
| 34.1 | 9 |
| 34.2 | 100 |
| 39.1 | 31 |
| 41.6 | 10 |
| 47.4 | 14 |
| 54.1 | 10 |
| 59.8 | 26 |
| 62.1 | 16 |
| 68.1 | 11 |

Cell and atoms:
Cell: 3.581 5.425 10.860 Å, 90.00 90.00 90.00°
Space group Cmmm (No. 65)
Inequivalent atoms, fractional coordinates:
La 0.000 0.000 0.212 [4 per cell]
Sc 0.000 0.500 0.500 [2 per cell]
W 0.000 0.500 0.000 [2 per cell]


No. 2
Diffraction record for Na2AlPCO7. The powder diffractogram is computed, not measured: it uses the GGA-PBE geometry in Alexandria and λ = 1.5418 Å (Cu Kα).
Neutral-atom scattering factors, no anomalous dispersion.

Top 10 peaks for 10° ≤ 2θ ≤ 80°, by angle:
| Position (°2θ) | I (rel.) |
| --- | --- |
| 17.0 | 50 |
| 23.9 | 30 |
| 24.5 | 63 |
| 25.7 | 63 |
| 27.9 | 38 |
| 33.9 | 27 |
| 34.2 | 29 |
| 34.5 | 100 |
| 50.2 | 24 |
| 57.6 | 24 |

Cell and atoms:
Cell: 5.202 6.396 8.970 Å, 90.00 92.53 90.00°
Space group P2_1/m (No. 11)
Inequivalent atoms, fractional coordinates:
Na 0.234 0.006 0.277 [4 per cell]
Al 0.216 0.250 0.854 [2 per cell]
P 0.273 0.750 0.932 [2 per cell]
C 0.277 0.250 0.590 [2 per cell]
O 0.049 0.250 0.647 [2 per cell]
O 0.120 0.750 0.077 [2 per cell]
O 0.204 0.553 0.839 [4 per cell]
O 0.319 0.250 0.454 [2 per cell]
O 0.431 0.250 0.026 [2 per cell]
O 0.462 0.250 0.697 [2 per cell]


Repeat the second record exactly.
Diffraction record for Na2AlPCO7. The powder diffractogram is computed, not measured: it uses the GGA-PBE geometry in Alexandria and λ = 1.5418 Å (Cu Kα).
Neutral-atom scattering factors, no anomalous dispersion.

Top 10 peaks for 10° ≤ 2θ ≤ 80°, by angle:
| Position (°2θ) | I (rel.) |
| --- | --- |
| 17.0 | 50 |
| 23.9 | 30 |
| 24.5 | 63 |
| 25.7 | 63 |
| 27.9 | 38 |
| 33.9 | 27 |
| 34.2 | 29 |
| 34.5 | 100 |
| 50.2 | 24 |
| 57.6 | 24 |

Cell and atoms:
Cell: 5.202 6.396 8.970 Å, 90.00 92.53 90.00°
Space group P2_1/m (No. 11)
Inequivalent atoms, fractional coordinates:
Na 0.234 0.006 0.277 [4 per cell]
Al 0.216 0.250 0.854 [2 per cell]
P 0.273 0.750 0.932 [2 per cell]
C 0.277 0.250 0.590 [2 per cell]
O 0.049 0.250 0.647 [2 per cell]
O 0.120 0.750 0.077 [2 per cell]
O 0.204 0.553 0.839 [4 per cell]
O 0.319 0.250 0.454 [2 per cell]
O 0.431 0.250 0.026 [2 per cell]
O 0.462 0.250 0.697 [2 per cell]